Structure and simulated XRD peak list of Dy2ErScTl4 (a cell relaxed with GGA-PBE; Cu Kα (weighted mean of Kα1 and Kα2)).

Main lines, by intensity (2θ = 10–90°):
two_theta, I/Imax, index
33.85, 100, 1 1 0
60.60, 28, 3 0 0
48.62, 18, 2 0 8
60.44, 9, 1 0 16
81.29, 8, 3 1 8
81.16, 8, 2 1 16

Cell lengths 5.2904, 5.2904, 26.0046 Å; angles 90.00, 90.00, 120.00 degrees
Space group R-3m (No. 166, hexagonal axes)
Asymmetric unit:
Dy1 0.0000 0.0000 0.2489 [6 per cell]
Er1 0.0000 0.0000 0.0000 [3 per cell]
Sc1 0.0000 0.0000 0.5000 [3 per cell]
Tl1 0.0000 0.0000 0.1262 [6 per cell]
Tl2 0.0000 0.0000 0.3763 [6 per cell]



Structure and simulated XRD peak list of Ho5ThAl4 (a cell relaxed with GGA-PBE; Cu Kα (weighted mean of Kα1 and Kα2)).

Main lines, by intensity (2θ = 10–90°):
two_theta, I/Imax, index
34.08, 100, 1 0 5
35.85, 57, 1 1 0
63.30, 34, 2 1 5
25.14, 25, 1 0 0
51.61, 20, 2 0 0
31.13, 20, 1 0 4

Cell lengths 3.542, 3.542, 19.651 Å; angles 90.00, 90.00, 90.00 degrees
Space group P4/mmm (No. 123)
Asymmetric unit:
Ho1 0.000 0.000 0.000 [1 per cell]
Ho2 0.000 0.000 0.186 [2 per cell]
Ho3 0.000 0.000 0.374 [2 per cell]
Th1 0.500 0.500 0.500 [1 per cell]
Al1 0.500 0.500 0.093 [2 per cell]
Al2 0.500 0.500 0.280 [2 per cell]



Structure and simulated XRD peak list of Tb3NdEr12 (a cell relaxed with GGA-PBE; Cu Kα (weighted mean of Kα1 and Kα2)).

Main lines, by intensity (2θ = 10–90°):
two_theta, I/Imax, index
31.06, 100, 1 1 4
36.01, 51, 2 0 0
61.68, 43, 3 1 4
51.85, 36, 2 2 0
84.71, 18, 3 3 4
87.46, 17, 4 2 0

Cell lengths 4.987, 4.987, 19.955 Å; angles 90.00, 90.00, 90.00 degrees
Space group P4/mmm (No. 123)
Asymmetric unit:
Tb1 0.000 0.000 0.000 [1 per cell]
Tb2 0.000 0.000 0.249 [2 per cell]
Nd1 0.000 0.000 0.500 [1 per cell]
Er1 0.000 0.500 0.124 [4 per cell]
Er2 0.000 0.500 0.374 [4 per cell]
Er3 0.500 0.500 0.000 [1 per cell]
Er4 0.500 0.500 0.249 [2 per cell]
Er5 0.500 0.500 0.500 [1 per cell]